Theoretical powder diffractogram
Compound: Er5Re2O12
Radiation: Cu Ka
Structure: a cell relaxed with GGA-PBE
Lines closer than 0.1° are merged.

Structural model:
```
data_Er5Re2O12
_chemical_formula_sum 'Er10 Re4 O24'
_space_group_name_H-M_alt 'C 1 2/m 1'
_space_group_IT_number 12
_cell_length_a 12.354
_cell_length_b 5.642
_cell_length_c 7.489
_cell_angle_alpha 90.00
_cell_angle_beta 107.90
_cell_angle_gamma 90.00
loop_
_space_group_symop_operation_xyz
'x,y,z'
'-x,-y,-z'
'-x,y,-z'
'x,-y,z'
'x+1/2,y+1/2,z'
'-x+1/2,-y+1/2,-z'
'-x+1/2,y+1/2,-z'
'x+1/2,-y+1/2,z'
loop_
_atom_site_label
_atom_site_fract_x
_atom_site_fract_y
_atom_site_fract_z
Er1 0.000 0.000 0.000
Er2 0.186 0.500 0.323
Er3 0.197 0.500 0.859
Re1 0.000 0.215 0.500
O1 0.001 0.500 0.679
O2 0.002 0.000 0.293
O3 0.154 0.252 0.073
O4 0.167 0.254 0.586
```

Most intense lines, 2θ from 15° to 90°, sorted by position:
| 2θ (°) | intensity |
| --- | --- |
| 27.72 | 97 |
| 28.61 | 100 |
| 33.01 | 37 |
| 33.16 | 38 |
| 40.78 | 26 |
| 46.37 | 28 |
| 48.63 | 24 |
| 56.46 | 25 |